Np4P3H4: theoretical X-ray powder pattern (λ = 1.5418 Å (Cu Kα)), based on a structure optimized by DFT (GGA-PBE).
Peak positions follow from Bragg's law for the DFT cell and can differ from measured ones.

Top 10 peaks for 2θ from 10° to 90°, low angle first:
hkl 2 0 0, 2θ 26.24, intensity 78
hkl 2 1 1, 2θ 32.28, intensity 100
hkl 2 2 0, 2θ 37.45, intensity 74
hkl 3 1 0, 2θ 42.06, intensity 13
hkl 3 2 1, 2θ 50.26, intensity 30
hkl 4 1 1, 2θ 57.57, intensity 66
hkl 3 3 2, 2θ 64.32, intensity 18
hkl 4 3 1, 2θ 70.72, intensity 28
hkl 5 3 0, 2θ 82.87, intensity 22
hkl 6 1 1, 2θ 88.79, intensity 36

Structure:
Cell lengths 6.7929, 6.7929, 6.7929 Å; angles 90.00, 90.00, 90.00 degrees
Space group I-43m (No. 217)
Asymmetric unit:
Np  0.2020  0.2020  0.7980 [8 per cell]
P  0.0000  0.0000  0.5000 [6 per cell]
H  0.1107  0.1107  0.1107 [8 per cell]

***

NdSm5Ho5: theoretical X-ray powder pattern (λ = 1.5418 Å (Cu Kα)), based on a structure optimized by DFT (GGA-PBE).
Peak positions follow from Bragg's law for the DFT cell and can differ from measured ones.

Top 10 peaks for 2θ from 10° to 90°, low angle first:
hkl 1 0 3, 2θ 28.39, intensity 100
hkl 1 1 0, 2θ 29.27, intensity 85
hkl 1 1 1, 2θ 30.26, intensity 30
hkl 1 1 2, 2θ 33.09, intensity 26
hkl 2 0 1, 2θ 34.80, intensity 37
hkl 1 0 4, 2θ 34.98, intensity 35
hkl 2 0 2, 2θ 37.35, intensity 52
hkl 2 0 4, 2θ 46.24, intensity 23
hkl 2 1 3, 2θ 51.36, intensity 39
hkl 2 2 0, 2θ 60.70, intensity 28

Structure:
Cell lengths 6.1030, 6.1030, 11.7335 Å; angles 90.00, 90.00, 120.00 degrees
Space group P-6m2 (No. 187)
Asymmetric unit:
Nd  0.0000  0.0000  0.0000 [1 per cell]
Sm  0.0000  0.0000  0.3214 [2 per cell]
Sm  0.3333  0.6667  0.1560 [2 per cell]
Sm  0.6667  0.3333  0.0000 [1 per cell]
Ho  0.0003  0.5002  0.5000 [3 per cell]
Ho  0.6667  0.3333  0.2660 [2 per cell]

***

TcAg3C: theoretical X-ray powder pattern (λ = 1.5418 Å (Cu Kα)), based on a structure optimized by DFT (GGA-PBE).
Peak positions follow from Bragg's law for the DFT cell and can differ from measured ones.

Top 6 peaks for 2θ from 10° to 90°, low angle first:
hkl 1 0 0, 2θ 20.54, intensity 1
hkl 1 1 1, 2θ 35.98, intensity 100
hkl 2 0 0, 2θ 41.79, intensity 54
hkl 2 2 0, 2θ 60.58, intensity 34
hkl 3 1 1, 2θ 72.52, intensity 36
hkl 2 2 2, 2θ 76.30, intensity 11

Structure:
Cell lengths 4.3230, 4.3230, 4.3230 Å; angles 90.00, 90.00, 90.00 degrees
Space group Pm-3m (No. 221)
Asymmetric unit:
Tc  0.0000  0.0000  0.0000 [1 per cell]
Ag  0.0000  0.5000  0.5000 [3 per cell]
C  0.5000  0.5000  0.5000 [1 per cell]

***

Zr3Al4C6: theoretical X-ray powder pattern (λ = 1.5418 Å (Cu Kα)), based on a structure optimized by DFT (GGA-PBE).
Peak positions follow from Bragg's law for the DFT cell and can differ from measured ones.

Top 10 peaks for 2θ from 10° to 90°, low angle first:
hkl 0 1 5, 2θ 32.10, intensity 85
hkl 0 0 18, 2θ 32.68, intensity 16
hkl 0 1 8, 2θ 34.10, intensity 57
hkl 1 0 10, 2θ 35.86, intensity 35
hkl 0 0 21, 2θ 38.33, intensity 19
hkl 1 0 13, 2θ 39.03, intensity 100
hkl 1 1 0, 2θ 54.69, intensity 46
hkl 0 1 26, 2θ 58.06, intensity 28
hkl 1 1 21, 2θ 68.74, intensity 19
hkl 0 2 13, 2θ 69.22, intensity 17

Structure:
Cell lengths 3.3568, 3.3568, 49.3194 Å; angles 90.00, 90.00, 120.00 degrees
Space group R-3m (No. 166, hexagonal axes)
Asymmetric unit:
Zr  0.0000  0.0000  0.0000 [3 per cell]
Zr  0.0000  0.0000  0.3881 [6 per cell]
Al  0.0000  0.0000  0.1477 [6 per cell]
Al  0.0000  0.0000  0.2317 [6 per cell]
C  0.0000  0.0000  0.0837 [6 per cell]
C  0.0000  0.0000  0.1920 [6 per cell]
C  0.0000  0.0000  0.3056 [6 per cell]

***

Pm2Er2Cu: theoretical X-ray powder pattern (λ = 1.5418 Å (Cu Kα)), based on a structure optimized by DFT (GGA-PBE).
Peak positions follow from Bragg's law for the DFT cell and can differ from measured ones.

Top 10 peaks for 2θ from 10° to 90°, low angle first:
hkl 1 0 3, 2θ 28.00, intensity 28
hkl 0 0 8, 2θ 31.51, intensity 20
hkl 1 0 5, 2θ 32.21, intensity 100
hkl 1 1 0, 2θ 36.16, intensity 54
hkl 1 1 8, 2θ 48.71, intensity 24
hkl 2 0 0, 2θ 52.07, intensity 19
hkl 1 0 13, 2θ 59.05, intensity 16
hkl 2 0 8, 2θ 62.14, intensity 12
hkl 2 1 5, 2θ 62.56, intensity 29
hkl 2 1 13, 2θ 82.59, intensity 12

Structure:
Cell lengths 3.5130, 3.5130, 22.7109 Å; angles 90.00, 90.00, 90.00 degrees
Space group I4/mmm (No. 139)
Asymmetric unit:
Pm  0.0000  0.0000  0.1918 [4 per cell]
Er  0.0000  0.0000  0.4269 [4 per cell]
Cu  0.0000  0.0000  0.0000 [2 per cell]

***

AcPmIrAu: theoretical X-ray powder pattern (λ = 1.5418 Å (Cu Kα)), based on a structure optimized by DFT (GGA-PBE).
Peak positions follow from Bragg's law for the DFT cell and can differ from measured ones.

Top 10 peaks for 2θ from 10° to 90°, low angle first:
hkl 1 1 0, 2θ 29.22, intensity 100
hkl 0 0 2, 2θ 29.46, intensity 49
hkl 2 0 0, 2θ 41.80, intensity 39
hkl 1 1 2, 2θ 41.98, intensity 76
hkl 2 0 2, 2θ 51.97, intensity 41
hkl 3 1 0, 2θ 68.68, intensity 18
hkl 2 2 2, 2θ 68.81, intensity 18
hkl 1 1 4, 2θ 69.18, intensity 18
hkl 3 1 2, 2θ 76.45, intensity 27
hkl 2 0 4, 2θ 76.81, intensity 13

Structure:
Cell lengths 4.3198, 4.3236, 6.0632 Å; angles 90.00, 90.04, 90.00 degrees
Space group Pm (No. 6)
Asymmetric unit:
Ac  0.0000  0.0000  0.0000 [1 per cell]
Pm  0.5011  0.5000  0.4988 [1 per cell]
Ir  0.5002  0.5000  0.9994 [1 per cell]
Au  0.0013  0.0000  0.5001 [1 per cell]

***

Ba4CaRh4O12: theoretical X-ray powder pattern (λ = 1.5418 Å (Cu Kα)), based on a structure optimized by DFT (GGA-PBE).
Peak positions follow from Bragg's law for the DFT cell and can differ from measured ones.

Top 10 peaks for 2θ from 10° to 90°, low angle first:
hkl 1 1 -2, 2θ 23.51, intensity 25
hkl 1 1 2, 2θ 26.00, intensity 45
hkl 2 0 -3, 2θ 28.33, intensity 54
hkl 3 1 -1, 2θ 30.16, intensity 81
hkl 3 1 0, 2θ 30.44, intensity 100
hkl 0 2 0, 2θ 30.97, intensity 87
hkl 1 1 3, 2θ 33.09, intensity 82
hkl 2 2 -3, 2θ 42.47, intensity 79
hkl 2 2 3, 2θ 46.89, intensity 23
hkl 5 1 4, 2θ 65.83, intensity 24

Structure:
Cell lengths 10.4417, 5.7755, 10.4796 Å; angles 90.00, 101.53, 90.00 degrees
Space group Cm (No. 8)
Asymmetric unit:
Ba  0.0000  0.0000  0.0000 [2 per cell]
Ba  0.0641  0.5000  0.3472 [2 per cell]
Ba  0.3009  0.0000  0.8428 [2 per cell]
Ba  0.4177  0.5000  0.6103 [2 per cell]
Ca  0.3587  0.5000  0.2421 [2 per cell]
Rh  0.1017  0.5000  0.6890 [2 per cell]
Rh  0.1577  0.5000  0.9615 [2 per cell]
Rh  0.2319  0.0000  0.4828 [2 per cell]
Rh  0.2544  0.0000  0.2127 [2 per cell]
O  0.0170  0.5000  0.0619 [2 per cell]
O  0.0648  0.2687  0.8250 [4 per cell]
O  0.0847  0.0000  0.2898 [2 per cell]
O  0.1298  0.2478  0.5608 [4 per cell]
O  0.2600  0.2496  0.0779 [4 per cell]
O  0.2810  0.5000  0.8140 [2 per cell]
O  0.3083  0.2302  0.3717 [4 per cell]
O  0.3919  0.0000  0.6273 [2 per cell]

***

ScBe2Co2: theoretical X-ray powder pattern (λ = 1.5418 Å (Cu Kα)), based on a structure optimized by DFT (GGA-PBE).
Peak positions follow from Bragg's law for the DFT cell and can differ from measured ones.

Top 10 peaks for 2θ from 10° to 90°, low angle first:
hkl 0 0 6, 2θ 27.14, intensity 56
hkl 1 0 3, 2θ 29.10, intensity 36
hkl 1 1 2, 2θ 37.78, intensity 78
hkl 1 1 4, 2θ 41.09, intensity 100
hkl 1 0 7, 2θ 41.29, intensity 58
hkl 1 0 9, 2θ 49.19, intensity 29
hkl 1 1 8, 2θ 52.64, intensity 26
hkl 2 0 0, 2θ 52.76, intensity 51
hkl 2 0 6, 2θ 60.33, intensity 21
hkl 2 1 7, 2θ 69.11, intensity 22

Structure:
Cell lengths 3.4703, 3.4703, 19.7118 Å; angles 90.00, 90.00, 90.00 degrees
Space group I4/mmm (No. 139)
Asymmetric unit:
Sc  0.0000  0.0000  0.1247 [4 per cell]
Be  0.0000  0.0000  0.3190 [4 per cell]
Be  0.0000  0.5000  0.0000 [4 per cell]
Co  0.0000  0.0000  0.4331 [4 per cell]
Co  0.0000  0.5000  0.2500 [4 per cell]

***

CdP2O10: theoretical X-ray powder pattern (λ = 1.5418 Å (Cu Kα)), based on a structure optimized by DFT (GGA-PBE).
Peak positions follow from Bragg's law for the DFT cell and can differ from measured ones.

Top 10 peaks for 2θ from 10° to 90°, low angle first:
hkl 2 0 0, 2θ 16.83, intensity 97
hkl 1 1 1, 2θ 21.88, intensity 70
hkl 1 2 0, 2θ 22.33, intensity 48
hkl 0 2 1, 2θ 23.47, intensity 100
hkl 2 1 1, 2θ 27.73, intensity 36
hkl 4 -2 1, 2θ 33.74, intensity 81
hkl 4 0 0, 2θ 34.04, intensity 25
hkl 0 4 1, 2θ 37.93, intensity 38
hkl 4 2 1, 2θ 48.68, intensity 25
hkl 6 -2 2, 2θ 57.28, intensity 26

Structure:
Cell lengths 12.1636, 12.1636, 5.4604 Å; angles 90.00, 90.00, 120.00 degrees
Space group P-3 (No. 147)
Asymmetric unit:
Cd  0.0000  0.5000  0.0000 [3 per cell]
P  0.1835  0.6408  0.5052 [6 per cell]
O  0.0448  0.2179  0.2994 [6 per cell]
O  0.0609  0.2751  0.1046 [6 per cell]
O  0.0825  0.6229  0.3266 [6 per cell]
O  0.1583  0.6404  0.7750 [6 per cell]
O  0.2265  0.5372  0.4392 [6 per cell]

***

Pa3Nb: theoretical X-ray powder pattern (λ = 1.5418 Å (Cu Kα)), based on a structure optimized by DFT (GGA-PBE).
Peak positions follow from Bragg's law for the DFT cell and can differ from measured ones.

Top 10 peaks for 2θ from 10° to 90°, low angle first:
hkl 1 0 0, 2θ 16.33, intensity 10
hkl 2 0 0, 2θ 33.00, intensity 67
hkl 1 1 1, 2θ 36.91, intensity 100
hkl 2 2 0, 2θ 47.36, intensity 28
hkl 3 1 1, 2θ 61.52, intensity 47
hkl 2 0 2, 2θ 68.92, intensity 17
hkl 4 0 0, 2θ 69.23, intensity 9
hkl 2 2 2, 2θ 78.57, intensity 12
hkl 4 2 0, 2θ 78.86, intensity 12
hkl 3 3 1, 2θ 81.14, intensity 11

Structure:
Cell lengths 5.4280, 5.4280, 3.1504 Å; angles 90.00, 90.00, 90.00 degrees
Space group P4/mmm (No. 123)
Asymmetric unit:
Pa  0.0000  0.0000  0.0000 [1 per cell]
Pa  0.0000  0.5000  0.5000 [2 per cell]
Nb  0.5000  0.5000  0.0000 [1 per cell]

***

Cs2SmAgCl6: theoretical X-ray powder pattern (λ = 1.5418 Å (Cu Kα)), based on a structure optimized by DFT (GGA-PBE).
Peak positions follow from Bragg's law for the DFT cell and can differ from measured ones.

Top 10 peaks for 2θ from 10° to 90°, low angle first:
hkl 2 2 0, 2θ 22.96, intensity 100
hkl 4 0 0, 2θ 32.70, intensity 55
hkl 4 2 2, 2θ 40.33, intensity 46
hkl 4 4 0, 2θ 46.91, intensity 38
hkl 6 2 0, 2θ 52.85, intensity 21
hkl 4 4 4, 2θ 58.36, intensity 13
hkl 6 4 2, 2θ 63.55, intensity 25
hkl 6 6 0, 2θ 73.32, intensity 12
hkl 8 4 0, 2θ 78.01, intensity 16
hkl 8 4 4, 2θ 87.17, intensity 13

Structure:
Cell lengths 10.9557, 10.9557, 10.9557 Å; angles 90.00, 90.00, 90.00 degrees
Space group Fm-3m (No. 225)
Asymmetric unit:
Cs  0.2500  0.2500  0.2500 [8 per cell]
Sm  0.0000  0.0000  0.0000 [4 per cell]
Ag  0.0000  0.0000  0.5000 [4 per cell]
Cl  0.0000  0.0000  0.2466 [24 per cell]

***

TiPt4Rh4: theoretical X-ray powder pattern (λ = 1.5418 Å (Cu Kα)), based on a structure optimized by DFT (GGA-PBE).
Peak positions follow from Bragg's law for the DFT cell and can differ from measured ones.

Top 10 peaks for 2θ from 10° to 90°, low angle first:
hkl 1 1 -1, 2θ 26.26, intensity 16
hkl 3 1 0, 2θ 39.92, intensity 100
hkl 1 1 -3, 2θ 40.06, intensity 99
hkl 2 0 3, 2θ 46.43, intensity 32
hkl 0 2 0, 2θ 46.56, intensity 65
hkl 4 2 -3, 2θ 67.92, intensity 41
hkl 5 1 3, 2θ 81.55, intensity 12
hkl 7 1 -3, 2θ 81.72, intensity 13
hkl 3 3 0, 2θ 81.84, intensity 25
hkl 1 3 -3, 2θ 81.96, intensity 25

Structure:
Cell lengths 8.7479, 3.9004, 8.2669 Å; angles 90.00, 108.23, 90.00 degrees
Space group Cm (No. 8)
Asymmetric unit:
Ti  0.0000  0.0000  0.0000 [2 per cell]
Pt  0.1631  0.5000  0.2185 [2 per cell]
Pt  0.3315  0.0000  0.1086 [2 per cell]
Pt  0.3350  0.0000  0.7792 [2 per cell]
Pt  0.4991  0.5000  0.6685 [2 per cell]
Rh  0.0001  0.0000  0.3278 [2 per cell]
Rh  0.1598  0.5000  0.5464 [2 per cell]
Rh  0.1647  0.5000  0.8841 [2 per cell]
Rh  0.3351  0.0000  0.4471 [2 per cell]